[1]
Structure and computed XRD peak list of NbP2O7 (DFT lattice parameters and positions (PBE); λ = 1.5418 Å (Cu Kα)).
Intensities are scaled so that the largest is 1000.

Crystal structure
```
data_NbP2O7
_space_group_name_H-M_alt 'P a -3'
_space_group_IT_number 205
_space_group_name_Hall '-P 2ac 2ab 3'
_cell_length_a 8.448
_cell_length_b 8.448
_cell_length_c 8.448
_cell_angle_alpha 90.00
_cell_angle_beta 90.00
_cell_angle_gamma 90.00
loop_
_atom_site_label
_atom_site_type_symbol
_atom_site_fract_x
_atom_site_fract_y
_atom_site_fract_z
Nb1 Nb 0.000 0.000 0.000
P1 P 0.108 0.608 0.892
O1 O 0.000 0.000 0.500
O2 O 0.058 0.721 0.420
```

Principal peaks in the range 10° ≤ 2θ ≤ 90°, in order of rising 2θ:
Position (°2θ)	intensity	h k l
18.19	377	1 1 1
21.03	1000	2 0 0
23.55	357	2 1 0
25.83	330	2 1 1
29.92	322	2 2 0
35.23	380	3 1 1

[2]
Structure and computed XRD peak list of Nb2P4O15 (DFT lattice parameters and positions (PBE); λ = 1.5418 Å (Cu Kα)).
Intensities are scaled so that the largest is 1000.

Crystal structure
```
data_Nb2P4O15
_space_group_name_H-M_alt 'P -1'
_space_group_IT_number 2
_space_group_name_Hall '-P 1'
_cell_length_a 6.778
_cell_length_b 8.527
_cell_length_c 11.241
_cell_angle_alpha 74.51
_cell_angle_beta 89.78
_cell_angle_gamma 89.88
loop_
_atom_site_label
_atom_site_type_symbol
_atom_site_fract_x
_atom_site_fract_y
_atom_site_fract_z
Nb1 Nb 0.240 0.294 0.152
Nb2 Nb 0.257 0.295 0.650
P1 P 0.060 0.683 0.598
P2 P 0.119 0.915 0.121
P3 P 0.380 0.916 0.621
P4 P 0.441 0.682 0.101
O1 O 0.000 0.000 0.000
O2 O 0.003 0.205 0.790
O3 O 0.034 0.314 0.525
O4 O 0.039 0.336 0.054
O5 O 0.088 0.277 0.311
O6 O 0.174 0.527 0.654
O7 O 0.211 0.833 0.562
O8 O 0.218 0.046 0.169
O9 O 0.279 0.048 0.669
O10 O 0.290 0.832 0.061
O11 O 0.325 0.526 0.153
O12 O 0.421 0.280 0.804
O13 O 0.449 0.337 0.544
O14 O 0.454 0.313 0.020
O15 O 0.498 0.203 0.288
O16 O 0.500 0.000 0.500
```

Principal peaks in the range 10° ≤ 2θ ≤ 90°, in order of rising 2θ:
Position (°2θ)	intensity	h k l
16.96	355	1 1 0
21.00	1000	1 0 -2
21.63	200	0 2 0
24.79	162	1 2 1
25.35	117	1 -2 0
34.50	155	2 -1 2

[3]
Structure and computed XRD peak list of Nb2P3O12 (DFT lattice parameters and positions (PBE); λ = 1.5418 Å (Cu Kα)).
Intensities are scaled so that the largest is 1000.

Crystal structure
```
data_Nb2P3O12
_space_group_name_H-M_alt 'R -3 c'
_space_group_IT_number 167
_space_group_name_Hall '-R 3 2"c'
_cell_length_a 8.8353
_cell_length_b 8.8353
_cell_length_c 22.6412
_cell_angle_alpha 90.00
_cell_angle_beta 90.00
_cell_angle_gamma 120.00
loop_
_atom_site_label
_atom_site_type_symbol
_atom_site_fract_x
_atom_site_fract_y
_atom_site_fract_z
Nb1 Nb 0.0000 0.0000 0.1421
P1 P 0.0000 0.2822 0.2500
O1 O 0.0309 0.2022 0.9074
O2 O 0.0317 0.1994 0.1950
```

Principal peaks in the range 10° ≤ 2θ ≤ 90°, in order of rising 2θ:
Position (°2θ)	intensity	h k l
13.97	518	0 1 2
19.51	1000	1 0 4
20.10	688	1 1 0
23.33	701	1 1 3
28.15	670	0 2 4
31.17	567	1 1 6